(1)
Starting from a GGA+U-relaxed structure, the PXRD pattern of MnP3H6O12 was computed for Cu Kα, 1.54184 Å.

Largest 6 diffraction maxima, by angle, 2θ = 5–70°:
2θ = 11.19°, intensity 100; 2θ = 14.18°, intensity 12; 2θ = 17.32°, intensity 37; 2θ = 25.95°, intensity 56; 2θ = 28.75°, intensity 27; 2θ = 29.85°, intensity 34

Structural model:
Cell: 7.9365 5.0167 12.5402 Å, 90.00 94.88 90.00°
Space group P2/c (No. 13)
Unique sites:
Mn: 0.0000 0.0000 0.0000 x2
P: 0.0000 0.2460 0.2500 x2
P: 0.2172 0.4861 0.5973 x4
H: 0.3176 0.0221 0.8630 x4
H: 0.4771 0.3248 0.6278 x4
H: 0.4991 0.1026 0.1262 x4
O: 0.0874 0.0970 0.3430 x4
O: 0.1374 0.4495 0.2086 x4
O: 0.1511 0.3174 0.0120 x4
O: 0.1830 0.1930 0.5717 x4
O: 0.4115 0.4897 0.1240 x4
O: 0.4389 0.0651 0.8662 x4

(2)
Starting from a GGA+U-relaxed structure, the PXRD pattern of MnP2HO7 was computed for Cu Kα, 1.54184 Å.

Largest 6 diffraction maxima, by angle, 2θ = 5–70°:
2θ = 13.07°, intensity 100; 2θ = 22.90°, intensity 32; 2θ = 23.94°, intensity 68; 2θ = 26.82°, intensity 78; 2θ = 29.45°, intensity 51; 2θ = 30.05°, intensity 43

Structural model:
Cell: 5.0402 12.8185 8.7030 Å, 90.00 113.61 90.00°
Space group P2_1/c (No. 14)
Unique sites:
Mn: 0.1341 0.1263 0.0047 x4
P: 0.1820 0.6780 0.2451 x4
P: 0.3996 0.0352 0.7498 x4
H: 0.4666 0.1678 0.6025 x4
O: 0.0675 0.1509 0.2048 x4
O: 0.0912 0.7477 0.5965 x4
O: 0.1920 0.0975 0.8020 x4
O: 0.2541 0.5719 0.1655 x4
O: 0.3095 0.5110 0.6008 x4
O: 0.4437 0.0887 0.6027 x4
O: 0.4626 0.7111 0.3892 x4

(3)
Starting from a GGA+U-relaxed structure, the PXRD pattern of Mn3P4H2Pb2O16 was computed for Cu Kα, 1.54184 Å.

Largest 6 diffraction maxima, by angle, 2θ = 5–70°:
2θ = 18.63°, intensity 91; 2θ = 19.78°, intensity 94; 2θ = 24.68°, intensity 87; 2θ = 27.79°, intensity 88; 2θ = 28.09°, intensity 100; 2θ = 32.64°, intensity 72

Structural model:
Cell: 8.0785 9.0029 9.7187 Å, 90.00 100.99 90.00°
Space group P2_1/c (No. 14)
Unique sites:
Mn: 0.0000 0.0000 0.0000 x2
Mn: 0.1075 0.1380 0.5918 x4
P: 0.1409 0.7045 0.2322 x4
P: 0.3402 0.2062 0.9325 x4
H: 0.3977 0.6703 0.4315 x4
Pb: 0.4069 0.5278 0.7528 x4
O: 0.0470 0.6822 0.3558 x4
O: 0.0747 0.5969 0.1094 x4
O: 0.1171 0.6311 0.6808 x4
O: 0.2467 0.1091 0.0252 x4
O: 0.2911 0.1743 0.7756 x4
O: 0.3203 0.1291 0.4717 x4
O: 0.3358 0.6847 0.2865 x4
O: 0.4639 0.6632 0.5369 x4

Q: Number 1 is which compound?
A: MnP3H6O12